(1)
Simulated X-ray powder pattern
Compound: NaNdPaSe4
Radiation: Cu Kα X-rays
Structure: the PBE geometry in Alexandria
No peak broadening, texture or thermal motion is included.

Structural model:
Lattice parameters (Å, degrees): 8.5969 8.6914 12.2527 90.00 90.00 90.00
Space group Imma (No. 74)
Asymmetric unit:
1 Na 0.0000 0.2500 0.1230 x4
2 Nd 0.0000 0.0000 0.5000 x4
3 Pa 0.2500 0.2500 0.7500 x4
4 Se 0.0000 0.0280 0.7432 x8
5 Se 0.2341 0.2500 0.5180 x8

Largest 12 diffraction maxima, in order of rising 2θ, 5° ≤ 2θ ≤ 70°:
2θ/deg	I/Imax	h k l
12.5	97	0 1 1
24.1	30	0 1 3
24.2	27	2 1 1
29.2	100	2 2 0
38.2	29	0 1 5
41.6	14	0 4 0
41.8	56	2 2 4
42.0	14	4 0 0
43.8	13	2 1 5
51.6	12	0 4 4
52.0	13	4 0 4
68.6	10	4 4 4



(2)
Simulated X-ray powder pattern
Compound: NaNd5Pb6
Radiation: Cu Kα X-rays
Structure: the PBE geometry in Alexandria
No peak broadening, texture or thermal motion is included.

Structural model:
Lattice parameters (Å, degrees): 5.8638 7.2393 9.2538 112.91 95.32 90.09
Space group P-1 (No. 2)
Asymmetric unit:
1 Na 0.0000 0.0000 0.0000 x1
2 Nd 0.0000 0.5000 0.0000 x1
3 Nd 0.3213 0.8395 0.6791 x2
4 Nd 0.3384 0.3317 0.6632 x2
5 Pb 0.1681 0.4171 0.3319 x2
6 Pb 0.1683 0.9150 0.3320 x2
7 Pb 0.4998 0.2535 0.0000 x2

Largest 12 diffraction maxima, in order of rising 2θ, 5° ≤ 2θ ≤ 70°:
2θ/deg	I/Imax	h k l
31.4	100	1 2 0
31.7	33	0 0 3
35.1	50	1 2 -3
39.2	19	2 0 2
50.4	9	0 4 -2
50.6	9	2 0 -4
53.8	15	1 2 3
60.6	10	2 -4 1
60.7	15	0 4 1
60.9	10	0 4 -5
65.7	8	2 4 0
66.3	8	3 2 2



(3)
Simulated X-ray powder pattern
Compound: NaNd3Pt8
Radiation: Cu Kα X-rays
Structure: the PBE geometry in Alexandria
No peak broadening, texture or thermal motion is included.

Structural model:
Lattice parameters (Å, degrees): 5.4877 5.4877 26.8481 90.00 90.00 120.00
Space group R3m (No. 160, hexagonal axes)
Asymmetric unit:
1 Na 0.0000 0.0000 0.0000 x3
2 Nd 0.0000 0.0000 0.1214 x3
3 Nd 0.0000 0.0000 0.5055 x3
4 Nd 0.0000 0.0000 0.6338 x3
5 Pt 0.0000 0.0000 0.3160 x3
6 Pt 0.0000 0.0000 0.8157 x3
7 Pt 0.0030 0.5015 0.0662 x9
8 Pt 0.1673 0.3347 0.8984 x9

Largest 12 diffraction maxima, in order of rising 2θ, 5° ≤ 2θ ≤ 70°:
2θ/deg	I/Imax	h k l
9.9	2	0 0 3
19.0	2	1 0 1
19.8	30	0 0 6
29.9	2	1 0 7
32.6	13	1 1 0
38.5	100	2 0 2
40.3	59	0 2 4
46.8	15	2 0 8
51.3	8	0 1 14
58.3	5	3 0 0
62.2	32	2 1 10
68.4	31	2 2 0



(4)
Simulated X-ray powder pattern
Compound: Na2NdPuTe4
Radiation: Cu Kα X-rays
Structure: the PBE geometry in Alexandria
No peak broadening, texture or thermal motion is included.

Structural model:
Lattice parameters (Å, degrees): 7.8443 4.5349 7.9639 90.00 109.30 90.00
Space group P2/m (No. 10)
Asymmetric unit:
1 Na 0.0000 0.0000 0.0000 x1
2 Na 0.5000 0.5000 0.0000 x1
3 Nd 0.0000 0.5000 0.5000 x1
4 Pu 0.5000 0.0000 0.5000 x1
5 Te 0.2490 0.0000 0.7391 x2
6 Te 0.2590 0.5000 0.2653 x2

Largest 12 diffraction maxima, in order of rising 2θ, 5° ≤ 2θ ≤ 70°:
2θ/deg	I/Imax	h k l
11.8	38	0 0 1
23.0	13	1 1 0
27.7	100	1 1 1
36.1	11	1 1 2
39.4	38	1 1 -3
39.8	38	0 2 0
41.6	11	3 1 0
48.4	7	0 0 4
49.1	14	2 2 -2
57.2	13	4 0 -4
64.4	12	3 1 -5
65.0	18	1 3 1



(5)
Simulated X-ray powder pattern
Compound: NaNd2Pu3Te6
Radiation: Cu Kα X-rays
Structure: the PBE geometry in Alexandria
No peak broadening, texture or thermal motion is included.

Structural model:
Lattice parameters (Å, degrees): 19.5137 4.4647 8.9944 90.00 103.13 90.00
Space group C2/m (No. 12)
Asymmetric unit:
1 Na 0.0000 0.0000 0.0000 x2
2 Nd 0.1666 0.5000 0.3358 x4
3 Pu 0.0000 0.0000 0.5000 x2
4 Pu 0.1659 0.5000 0.8354 x4
5 Te 0.9998 0.5000 0.2531 x4
6 Te 0.1653 0.0000 0.5890 x4
7 Te 0.1678 0.0000 0.0830 x4

Largest 12 diffraction maxima, in order of rising 2θ, 5° ≤ 2θ ≤ 70°:
2θ/deg	I/Imax	h k l
12.1	12	2 0 -1
23.3	7	4 0 1
28.2	100	6 0 0
40.1	13	2 0 -4
40.3	51	5 1 2
40.4	13	0 2 0
49.6	7	4 0 4
49.8	7	8 0 -4
50.0	14	6 2 0
58.2	13	12 0 0
65.9	12	11 1 2
66.0	12	13 1 -2



(6)
Simulated X-ray powder pattern
Compound: NaNd3S4
Radiation: Cu Kα X-rays
Structure: the PBE geometry in Alexandria
No peak broadening, texture or thermal motion is included.

Structural model:
Lattice parameters (Å, degrees): 5.7439 5.7439 5.7439 90.00 90.00 90.00
Space group Pm-3m (No. 221)
Asymmetric unit:
1 Na 0.0000 0.0000 0.0000 x1
2 Nd 0.0000 0.5000 0.5000 x3
3 S 0.0000 0.0000 0.5000 x3
4 S 0.5000 0.5000 0.5000 x1

Largest 12 diffraction maxima, in order of rising 2θ, 5° ≤ 2θ ≤ 70°:
2θ/deg	I/Imax	h k l
15.4	22	1 0 0
21.9	20	1 1 0
26.9	57	1 1 1
31.1	100	2 0 0
34.9	12	2 1 0
38.4	9	2 1 1
44.6	72	2 2 0
47.5	6	3 0 0
52.9	29	3 1 1
55.4	25	2 2 2
60.3	5	3 2 1
64.9	11	4 0 0



(7)
Simulated X-ray powder pattern
Compound: Na3Nd5S8
Radiation: Cu Kα X-rays
Structure: the PBE geometry in Alexandria
No peak broadening, texture or thermal motion is included.

Structural model:
Lattice parameters (Å, degrees): 8.1715 8.1715 20.0036 90.00 90.00 120.00
Space group R-3m (No. 166, hexagonal axes)
Asymmetric unit:
1 Na 0.0000 0.5000 0.0000 x9
2 Nd 0.0000 0.0000 0.0000 x3
3 Nd 0.0000 0.0000 0.5000 x3
4 Nd 0.0000 0.5000 0.5000 x9
5 S 0.0000 0.0000 0.2458 x6
6 S 0.0020 0.5010 0.7509 x18

Largest 12 diffraction maxima, in order of rising 2θ, 5° ≤ 2θ ≤ 70°:
2θ/deg	I/Imax	h k l
13.3	39	0 0 3
15.3	7	0 1 2
25.6	24	0 2 1
26.7	46	0 0 6
31.0	100	0 2 4
33.8	11	2 0 5
40.6	10	0 2 7
44.4	72	2 2 0
46.5	10	2 2 3
52.5	24	0 2 10
55.1	25	4 0 4
64.5	11	0 4 8



(8)
Simulated X-ray powder pattern
Compound: NaNd3Sm4Se8
Radiation: Cu Kα X-rays
Structure: the PBE geometry in Alexandria
No peak broadening, texture or thermal motion is included.

Structural model:
Lattice parameters (Å, degrees): 8.4000 8.4000 20.5883 90.00 90.00 120.00
Space group R-3m (No. 166, hexagonal axes)
Asymmetric unit:
1 Na 0.0000 0.0000 0.0000 x3
2 Nd 0.0000 0.5000 0.0000 x9
3 Sm 0.0000 0.0000 0.5000 x3
4 Sm 0.0000 0.5000 0.5000 x9
5 Se 0.0000 0.0000 0.2484 x6
6 Se 0.0036 0.5018 0.7507 x18

Largest 12 diffraction maxima, in order of rising 2θ, 5° ≤ 2θ ≤ 70°:
2θ/deg	I/Imax	h k l
12.9	5	0 0 3
14.9	3	0 1 2
21.1	2	1 0 4
24.9	4	0 2 1
26.0	12	2 0 2
30.1	100	0 2 4
32.9	2	2 1 1
43.1	74	2 2 0
51.0	6	2 2 6
53.4	26	4 0 4
62.5	12	0 4 8
68.9	2	2 0 14